For Gd3MnGaS7, a PBE-relaxed structure gives the simulated X-ray powder pattern in this record (Cu Kα).
Intensities are scaled so that the largest is 100.

Most intense lines, 10° ≤ 2θ ≤ 90°, in order of falling intensity:
2theta	I_rel	(hkl)
25.49	100	2 0 1
36.75	37	2 2 0
35.95	36	2 0 2
49.14	36	2 0 3
34.93	32	3 0 1
40.55	26	1 2 2
27.86	25	1 2 0
17.75	25	1 0 1

Crystal structure
abc: 9.782 9.782 6.186
angles: 90.00 90.00 120.00
Atoms (fractional coordinates):
Gd: 0.151 0.378 0.000
Gd: 0.227 0.849 0.000
Gd: 0.378 0.227 0.500
Gd: 0.622 0.773 0.000
Gd: 0.773 0.151 0.500
Gd: 0.849 0.622 0.500
Mn: 0.000 0.000 0.310
Mn: 0.000 0.000 0.810
Ga: 0.333 0.667 0.424
Ga: 0.667 0.333 0.924
S: 0.091 0.572 0.265
S: 0.103 0.242 0.584
S: 0.140 0.897 0.584
S: 0.242 0.140 0.084
S: 0.333 0.667 0.791
S: 0.428 0.519 0.265
S: 0.481 0.909 0.265
S: 0.519 0.091 0.765
S: 0.572 0.481 0.765
S: 0.667 0.333 0.291
S: 0.758 0.860 0.584
S: 0.860 0.103 0.084
S: 0.897 0.758 0.084
S: 0.909 0.428 0.765